Diffraction record for CoP2RuN. The X-ray diffraction stick pattern is theoretical, not measured: it uses a structure optimized by DFT (GGA-PBE) and Cu Ka.
Neutral-atom scattering factors, no anomalous dispersion.

The 10 most intense peaks (10 to 80 degrees two-theta), by intensity:
15.3°, intensity 100, (0 0 1)
40.9°, intensity 74, (1 -1 1)
34.9°, intensity 47, (1 -1 0)
29.4°, intensity 39, (0 1 1)
48.3°, intensity 36, (0 2 -1)
41.2°, intensity 28, (0 1 2)
49.6°, intensity 24, (1 1 0)
49.8°, intensity 24, (-1 2 1)
36.8°, intensity 19, (0 1 -2)
50.6°, intensity 14, (0 1 -3)

Crystal structure
Cell lengths 2.784, 4.096, 5.978 Å; angles 91.42, 103.32, 109.73 degrees
Space group P1 (No. 1)
Asymmetric unit:
Co (0.000, 0.000, 0.000) (multiplicity 1)
P (0.185, 0.795, 0.578) (multiplicity 1)
P (0.321, 0.557, 0.082) (multiplicity 1)
Ru (0.553, 0.383, 0.723) (multiplicity 1)
N (0.996, 0.724, 0.269) (multiplicity 1)

=====

Diffraction record for Na6Np2H10S4O25. The X-ray diffraction stick pattern is theoretical, not measured: it uses a structure optimized by DFT (GGA-PBE) and Cu Ka.
Neutral-atom scattering factors, no anomalous dispersion.

The 10 most intense peaks (10 to 80 degrees two-theta), by intensity:
14.0°, intensity 100, (0 1 1)
15.0°, intensity 48, (1 0 1)
14.8°, intensity 47, (1 0 -1)
19.6°, intensity 33, (0 1 -2)
25.2°, intensity 32, (2 0 0)
28.8°, intensity 28, (-2 1 1)
29.1°, intensity 24, (2 1 1)
18.6°, intensity 24, (1 1 -1)
35.1°, intensity 21, (2 2 -1)
30.5°, intensity 21, (1 -2 2)

Crystal structure
Cell lengths 7.070, 7.847, 10.954 Å; angles 91.32, 90.72, 90.44 degrees
Space group P1 (No. 1)
Asymmetric unit:
Na (0.000, 0.000, 0.000) (multiplicity 1)
Na (0.048, 0.672, 0.446) (multiplicity 1)
Na (0.252, 0.970, 0.723) (multiplicity 1)
Na (0.500, 0.981, 0.017) (multiplicity 1)
Na (0.565, 0.272, 0.541) (multiplicity 1)
Na (0.768, 0.012, 0.290) (multiplicity 1)
Np (0.256, 0.356, 0.201) (multiplicity 1)
Np (0.746, 0.621, 0.818) (multiplicity 1)
H (0.057, 0.286, 0.830) (multiplicity 1)
H (0.105, 0.838, 0.235) (multiplicity 1)
H (0.436, 0.822, 0.265) (multiplicity 1)
H (0.480, 0.262, 0.848) (multiplicity 1)
H (0.556, 0.695, 0.186) (multiplicity 1)
H (0.604, 0.131, 0.777) (multiplicity 1)
H (0.689, 0.589, 0.437) (multiplicity 1)
H (0.771, 0.500, 0.553) (multiplicity 1)
H (0.933, 0.158, 0.753) (multiplicity 1)
H (0.976, 0.706, 0.163) (multiplicity 1)
S (0.249, 0.623, 0.912) (multiplicity 1)
S (0.259, 0.076, 0.405) (multiplicity 1)
S (0.752, 0.360, 0.105) (multiplicity 1)
S (0.761, 0.893, 0.607) (multiplicity 1)
O (0.033, 0.164, 0.817) (multiplicity 1)
O (0.076, 0.547, 0.850) (multiplicity 1)
O (0.091, 0.159, 0.347) (multiplicity 1)
O (0.245, 0.811, 0.908) (multiplicity 1)
O (0.253, 0.889, 0.377) (multiplicity 1)
O (0.256, 0.181, 0.085) (multiplicity 1)
O (0.256, 0.524, 0.322) (multiplicity 1)
O (0.258, 0.569, 0.041) (multiplicity 1)
O (0.271, 0.111, 0.538) (multiplicity 1)
O (0.416, 0.556, 0.844) (multiplicity 1)
O (0.431, 0.156, 0.347) (multiplicity 1)
O (0.490, 0.141, 0.827) (multiplicity 1)
O (0.536, 0.817, 0.203) (multiplicity 1)
O (0.588, 0.429, 0.175) (multiplicity 1)
O (0.592, 0.807, 0.660) (multiplicity 1)
O (0.736, 0.445, 0.700) (multiplicity 1)
O (0.739, 0.412, 0.976) (multiplicity 1)
O (0.751, 0.801, 0.931) (multiplicity 1)
O (0.754, 0.171, 0.109) (multiplicity 1)
O (0.758, 0.078, 0.640) (multiplicity 1)
O (0.767, 0.868, 0.473) (multiplicity 1)
O (0.768, 0.494, 0.462) (multiplicity 1)
O (0.928, 0.433, 0.164) (multiplicity 1)
O (0.932, 0.809, 0.664) (multiplicity 1)
O (0.988, 0.827, 0.187) (multiplicity 1)

=====

Diffraction record for AlAs2Br. The X-ray diffraction stick pattern is theoretical, not measured: it uses a structure optimized by DFT (GGA-PBE) and Cu Ka.
Neutral-atom scattering factors, no anomalous dispersion.

The 10 most intense peaks (10 to 80 degrees two-theta), by intensity:
30.3°, intensity 100, (1 0 4)
36.6°, intensity 61, (1 0 7)
10.4°, intensity 53, (0 0 3)
47.3°, intensity 48, (1 1 0)
47.8°, intensity 44, (0 1 11)
20.9°, intensity 40, (0 0 6)
32.1°, intensity 22, (0 1 5)
27.7°, intensity 20, (0 1 2)
52.2°, intensity 20, (1 1 6)
27.0°, intensity 17, (1 0 1)

Crystal structure
Cell lengths 3.8427, 3.8427, 25.5328 Å; angles 90.00, 90.00, 120.00 degrees
Space group R3m (No. 160, hexagonal axes)
Asymmetric unit:
Al (0.0000, 0.0000, 0.0000) (multiplicity 3)
As (0.0000, 0.0000, 0.4494) (multiplicity 3)
As (0.0000, 0.0000, 0.7308) (multiplicity 3)
Br (0.0000, 0.0000, 0.2702) (multiplicity 3)

=====

Diffraction record for Eu2P3Pt4. The X-ray diffraction stick pattern is theoretical, not measured: it uses a structure optimized by DFT (GGA-PBE) and Cu Ka.
Neutral-atom scattering factors, no anomalous dispersion.

The 10 most intense peaks (10 to 80 degrees two-theta), by intensity:
31.7°, intensity 100, (1 1 2)
35.7°, intensity 82, (1 1 4)
43.4°, intensity 74, (2 0 0)
31.6°, intensity 71, (1 0 5)
39.2°, intensity 47, (1 0 7)
54.6°, intensity 31, (2 1 5)
59.9°, intensity 27, (2 1 7)
72.3°, intensity 26, (3 1 2)
27.8°, intensity 25, (0 0 6)
63.0°, intensity 24, (2 2 0)

Crystal structure
Cell lengths 4.173, 4.173, 19.286 Å; angles 90.00, 90.00, 90.00 degrees
Space group I-4m2 (No. 119)
Asymmetric unit:
Eu (0.000, 0.000, 0.129) (multiplicity 4)
P (0.000, 0.000, 0.426) (multiplicity 4)
P (0.000, 0.500, 0.750) (multiplicity 2)
Pt (0.000, 0.000, 0.305) (multiplicity 4)
Pt (0.000, 0.500, 0.000) (multiplicity 4)

=====

Diffraction record for Nd3ThS4. The X-ray diffraction stick pattern is theoretical, not measured: it uses a structure optimized by DFT (GGA-PBE) and Cu Ka.
Neutral-atom scattering factors, no anomalous dispersion.

The 10 most intense peaks (10 to 80 degrees two-theta), by intensity:
31.1°, intensity 100, (1 2 1)
26.9°, intensity 42, (2 0 0)
26.9°, intensity 41, (1 2 -1)
44.6°, intensity 37, (2 0 2)
44.7°, intensity 36, (0 4 0)
52.9°, intensity 24, (3 2 -3)
55.5°, intensity 19, (0 0 4)
52.8°, intensity 17, (3 2 1)
73.7°, intensity 16, (4 4 0)
73.9°, intensity 16, (0 4 4)

Crystal structure
Cell lengths 7.049, 8.107, 7.027 Å; angles 90.00, 109.37, 90.00 degrees
Space group P2/c (No. 13)
Asymmetric unit:
Nd (0.000, 0.124, 0.250) (multiplicity 2)
Nd (0.000, 0.373, 0.750) (multiplicity 2)
Nd (0.500, 0.372, 0.250) (multiplicity 2)
Th (0.500, 0.123, 0.750) (multiplicity 2)
S (0.250, 0.125, 0.999) (multiplicity 4)
S (0.252, 0.374, 0.502) (multiplicity 4)

=====

Diffraction record for LaTb2Ni9. The X-ray diffraction stick pattern is theoretical, not measured: it uses a structure optimized by DFT (GGA-PBE) and Cu Ka.
Neutral-atom scattering factors, no anomalous dispersion.

The 10 most intense peaks (10 to 80 degrees two-theta), by intensity:
42.3°, intensity 100, (1 1 6)
35.8°, intensity 49, (1 1 0)
32.9°, intensity 46, (1 0 7)
41.7°, intensity 36, (0 2 1)
35.9°, intensity 34, (0 1 8)
68.7°, intensity 32, (3 0 6)
64.3°, intensity 21, (3 0 0)
75.8°, intensity 21, (2 2 0)
45.7°, intensity 17, (2 0 5)
45.8°, intensity 16, (0 1 11)

Crystal structure
Cell lengths 5.0208, 5.0208, 24.4541 Å; angles 90.00, 90.00, 120.00 degrees
Space group R-3m (No. 166, hexagonal axes)
Asymmetric unit:
La (0.0000, 0.0000, 0.0000) (multiplicity 3)
Tb (0.0000, 0.0000, 0.1398) (multiplicity 6)
Ni (0.0000, 0.0000, 0.3328) (multiplicity 6)
Ni (0.0000, 0.0000, 0.5000) (multiplicity 3)
Ni (0.0008, 0.5004, 0.9166) (multiplicity 18)

=====

Diffraction record for Tb2SmEr3Tm6. The X-ray diffraction stick pattern is theoretical, not measured: it uses a structure optimized by DFT (GGA-PBE) and Cu Ka.
Neutral-atom scattering factors, no anomalous dispersion.

The 10 most intense peaks (10 to 80 degrees two-theta), by intensity:
31.2°, intensity 100, (1 3 1)
36.2°, intensity 68, (2 0 2)
31.2°, intensity 33, (2 0 -2)
61.9°, intensity 33, (4 0 0)
52.0°, intensity 24, (0 6 0)
52.1°, intensity 24, (1 3 5)
62.0°, intensity 24, (0 6 4)
65.0°, intensity 12, (2 6 2)
76.7°, intensity 8, (4 0 4)
65.2°, intensity 4, (0 0 8)

Crystal structure
Cell lengths 6.093, 10.540, 11.629 Å; angles 90.00, 100.03, 90.00 degrees
Space group C2/m (No. 12)
Asymmetric unit:
Tb (0.000, 0.167, 0.000) (multiplicity 4)
Sm (0.000, 0.500, 0.000) (multiplicity 2)
Er (0.000, 0.000, 0.500) (multiplicity 2)
Er (0.000, 0.333, 0.500) (multiplicity 4)
Tm (0.249, 0.167, 0.748) (multiplicity 8)
Tm (0.249, 0.500, 0.748) (multiplicity 4)

=====

Diffraction record for Ac2NdMgHg6. The X-ray diffraction stick pattern is theoretical, not measured: it uses a structure optimized by DFT (GGA-PBE) and Cu Ka.
Neutral-atom scattering factors, no anomalous dispersion.

The 10 most intense peaks (10 to 80 degrees two-theta), by intensity:
32.7°, intensity 100, (1 2 -2)
39.8°, intensity 33, (2 0 0)
27.7°, intensity 26, (-1 1 1)
35.4°, intensity 24, (0 0 3)
35.5°, intensity 24, (0 3 0)
27.9°, intensity 23, (1 1 1)
36.4°, intensity 22, (1 2 1)
36.1°, intensity 21, (-1 1 2)
59.6°, intensity 17, (1 -2 5)
30.9°, intensity 16, (1 2 0)

Crystal structure
Cell lengths 4.525, 8.240, 8.270 Å; angles 113.07, 90.32, 90.31 degrees
Space group P-1 (No. 2)
Asymmetric unit:
Ac (0.006, 0.222, 0.279) (multiplicity 2)
Nd (0.000, 0.500, 0.000) (multiplicity 1)
Mg (0.500, 0.000, 0.500) (multiplicity 1)
Hg (0.005, 0.174, 0.672) (multiplicity 2)
Hg (0.491, 0.839, 0.061) (multiplicity 2)
Hg (0.495, 0.559, 0.338) (multiplicity 2)

=====

Diffraction record for Mg2In3Bi. The X-ray diffraction stick pattern is theoretical, not measured: it uses a structure optimized by DFT (GGA-PBE) and Cu Ka.
Neutral-atom scattering factors, no anomalous dispersion.

The 10 most intense peaks (10 to 80 degrees two-theta), by intensity:
32.7°, intensity 100, (-1 1 2)
33.4°, intensity 88, (1 2 3)
33.0°, intensity 80, (1 2 -1)
32.4°, intensity 69, (1 -1 2)
39.3°, intensity 57, (2 1 1)
36.4°, intensity 55, (0 0 4)
38.6°, intensity 48, (0 3 1)
54.6°, intensity 41, (0 3 5)
28.4°, intensity 27, (1 -1 1)
17.3°, intensity 25, (0 1 -1)

Crystal structure
Cell lengths 4.582, 7.310, 10.339 Å; angles 74.73, 77.69, 73.23 degrees
Space group P-1 (No. 2)
Asymmetric unit:
Mg (0.041, 0.299, 0.139) (multiplicity 2)
Mg (0.306, 0.043, 0.861) (multiplicity 2)
In (0.118, 0.889, 0.370) (multiplicity 2)
In (0.212, 0.455, 0.622) (multiplicity 2)
In (0.466, 0.209, 0.370) (multiplicity 2)
Bi (0.339, 0.678, 0.091) (multiplicity 2)

=====

Diffraction record for YTa2Re. The X-ray diffraction stick pattern is theoretical, not measured: it uses a structure optimized by DFT (GGA-PBE) and Cu Ka.
Neutral-atom scattering factors, no anomalous dispersion.

The 10 most intense peaks (10 to 80 degrees two-theta), by intensity:
37.2°, intensity 100, (1 0 1)
36.4°, intensity 63, (0 1 2)
40.0°, intensity 29, (0 2 0)
15.0°, intensity 27, (0 0 1)
55.7°, intensity 21, (1 2 1)
66.0°, intensity 18, (1 1 3)
67.5°, intensity 11, (2 1 0)
70.8°, intensity 10, (1 3 -1)
50.3°, intensity 10, (1 0 -3)
50.7°, intensity 9, (0 1 3)

Crystal structure
Cell lengths 2.983, 4.510, 6.030 Å; angles 90.00, 102.10, 90.00 degrees
Space group Pm (No. 6)
Asymmetric unit:
Y (0.000, 0.000, 0.000) (multiplicity 1)
Ta (0.265, 0.500, 0.695) (multiplicity 1)
Ta (0.568, 0.000, 0.477) (multiplicity 1)
Re (0.780, 0.500, 0.281) (multiplicity 1)

=====

Diffraction record for KAlTcGe2. The X-ray diffraction stick pattern is theoretical, not measured: it uses a structure optimized by DFT (GGA-PBE) and Cu Ka.
Neutral-atom scattering factors, no anomalous dispersion.

The 10 most intense peaks (10 to 80 degrees two-theta), by intensity:
18.2°, intensity 100, (0 0 1)
36.8°, intensity 71, (2 0 0)
25.8°, intensity 48, (1 0 1)
53.1°, intensity 48, (2 0 2)
41.3°, intensity 42, (2 0 1)
36.9°, intensity 35, (0 0 2)
31.8°, intensity 29, (1 1 1)
53.0°, intensity 24, (2 2 0)
66.3°, intensity 24, (2 2 2)
45.5°, intensity 19, (2 1 1)

Crystal structure
Cell lengths 4.889, 4.889, 4.867 Å; angles 90.00, 90.00, 90.00 degrees
Space group P4/mmm (No. 123)
Asymmetric unit:
K (0.000, 0.000, 0.000) (multiplicity 1)
Al (0.500, 0.500, 0.000) (multiplicity 1)
Tc (0.500, 0.500, 0.500) (multiplicity 1)
Ge (0.000, 0.500, 0.500) (multiplicity 2)

=====

Diffraction record for SrCa2TiAg. The X-ray diffraction stick pattern is theoretical, not measured: it uses a structure optimized by DFT (GGA-PBE) and Cu Ka.
Neutral-atom scattering factors, no anomalous dispersion.

The 10 most intense peaks (10 to 80 degrees two-theta), by intensity:
15.5°, intensity 100, (1 0 0)
31.3°, intensity 89, (2 0 0)
43.9°, intensity 67, (2 0 2)
22.0°, intensity 52, (1 1 0)
30.1°, intensity 50, (0 0 2)
54.9°, intensity 33, (2 2 2)
44.8°, intensity 31, (2 2 0)
34.0°, intensity 30, (1 0 2)
26.7°, intensity 29, (1 1 1)
35.1°, intensity 28, (2 1 0)

Crystal structure
Cell lengths 5.716, 5.716, 5.945 Å; angles 90.00, 90.00, 90.00 degrees
Space group P4/mmm (No. 123)
Asymmetric unit:
Sr (0.000, 0.000, 0.000) (multiplicity 1)
Ca (0.000, 0.500, 0.500) (multiplicity 2)
Ti (0.500, 0.500, 0.000) (multiplicity 1)
Ag (0.000, 0.000, 0.500) (multiplicity 1)

=====

Diffraction record for SrLa4TiAl4O15. The X-ray diffraction stick pattern is theoretical, not measured: it uses a structure optimized by DFT (GGA-PBE) and Cu Ka.
Neutral-atom scattering factors, no anomalous dispersion.

The 10 most intense peaks (10 to 80 degrees two-theta), by intensity:
33.0°, intensity 100, (1 5 1)
40.7°, intensity 46, (2 0 1)
23.2°, intensity 44, (0 0 1)
59.0°, intensity 31, (3 5 1)
47.4°, intensity 29, (2 10 0)
69.2°, intensity 21, (2 10 2)
33.1°, intensity 20, (2 0 0)
58.8°, intensity 16, (2 0 2)
47.2°, intensity 15, (0 0 2)
53.4°, intensity 14, (3 5 0)

Crystal structure
Cell lengths 5.416, 27.134, 3.849 Å; angles 90.00, 90.00, 90.00 degrees
Space group Cmmm (No. 65)
Asymmetric unit:
Sr (0.000, 0.000, 0.000) (multiplicity 2)
La (0.000, 0.200, 0.000) (multiplicity 4)
La (0.000, 0.397, 0.000) (multiplicity 4)
Ti (0.000, 0.500, 0.500) (multiplicity 2)
Al (0.000, 0.101, 0.500) (multiplicity 4)
Al (0.000, 0.299, 0.500) (multiplicity 4)
O (0.000, 0.104, 0.000) (multiplicity 4)
O (0.000, 0.300, 0.000) (multiplicity 4)
O (0.000, 0.500, 0.000) (multiplicity 2)
O (0.248, 0.448, 0.500) (multiplicity 8)
O (0.249, 0.349, 0.500) (multiplicity 8)
O (0.250, 0.250, 0.500) (multiplicity 4)